[1]
This entry pairs a crystal structure of AcTm3Cd4 with its theoretical X-ray powder pattern. Radiation: Cu Kα (weighted mean of Kα1 and Kα2). Structure: DFT lattice parameters and positions (GGA-PBE).
Kinematic intensities with the Lorentz-polarization factor, no thermal factor.

The 10 most intense peaks (2θ from 5° to 70°), by angle:
2θ 23.0, 3.872 Å, I = 4
2θ 23.6, 3.765 Å, I = 6
2θ 33.2, 2.699 Å, I = 100
2θ 33.7, 2.662 Å, I = 50
2θ 41.1, 2.194 Å, I = 3
2θ 46.9, 1.936 Å, I = 9
2θ 48.3, 1.883 Å, I = 18
2θ 59.0, 1.566 Å, I = 17
2θ 59.9, 1.544 Å, I = 36
2θ 69.7, 1.350 Å, I = 10

Atomic structure:
Unit cell a=5.3249 b=5.3249 c=7.7435 alpha=90.00 beta=90.00 gamma=90.00
Space group P4/mmm (No. 123)
One atom of each set of equivalent atoms:
Ac  0.0000  0.0000  0.0000 [1 per cell]
Tm  0.0000  0.0000  0.5000 [1 per cell]
Tm  0.5000  0.5000  0.0000 [1 per cell]
Tm  0.5000  0.5000  0.5000 [1 per cell]
Cd  0.0000  0.5000  0.2733 [4 per cell]

***

[2]
This entry pairs a crystal structure of Ac6YCd5 with its theoretical X-ray powder pattern. Radiation: Cu Kα (weighted mean of Kα1 and Kα2). Structure: DFT lattice parameters and positions (GGA-PBE).
Kinematic intensities with the Lorentz-polarization factor, no thermal factor.

The 10 most intense peaks (2θ from 5° to 70°), by angle:
2θ 21.7, 4.089 Å, I = 10
2θ 30.7, 2.908 Å, I = 100
2θ 31.2, 2.871 Å, I = 20
2θ 43.8, 2.067 Å, I = 8
2θ 44.3, 2.044 Å, I = 15
2θ 54.4, 1.685 Å, I = 8
2θ 54.6, 1.680 Å, I = 15
2θ 54.7, 1.677 Å, I = 8
2θ 55.2, 1.664 Å, I = 16
2θ 64.1, 1.453 Å, I = 9

Atomic structure:
Unit cell a=5.7411 b=8.2665 c=9.1974 alpha=90.00 beta=108.20 gamma=90.00
Space group P2/m (No. 10)
One atom of each set of equivalent atoms:
Ac  0.0000  0.2330  0.0000 [2 per cell]
Ac  0.3301  0.2498  0.6585 [4 per cell]
Y  0.5000  0.5000  0.0000 [1 per cell]
Cd  0.1523  0.5000  0.3067 [2 per cell]
Cd  0.1653  0.0000  0.3348 [2 per cell]
Cd  0.5000  0.0000  0.0000 [1 per cell]

***

[3]
This entry pairs a crystal structure of AcYCd6 with its theoretical X-ray powder pattern. Radiation: Cu Kα (weighted mean of Kα1 and Kα2). Structure: DFT lattice parameters and positions (GGA-PBE).
Kinematic intensities with the Lorentz-polarization factor, no thermal factor.

The 10 most intense peaks (2θ from 5° to 70°), by angle:
2θ 26.5, 3.367 Å, I = 24
2θ 29.9, 2.988 Å, I = 35
2θ 33.5, 2.671 Å, I = 55
2θ 35.2, 2.550 Å, I = 100
2θ 36.8, 2.445 Å, I = 36
2θ 48.1, 1.893 Å, I = 19
2θ 54.3, 1.691 Å, I = 15
2θ 64.2, 1.451 Å, I = 17
2θ 65.2, 1.431 Å, I = 16
2θ 65.3, 1.429 Å, I = 13

Atomic structure:
Unit cell a=4.8908 b=6.7651 c=6.3785 alpha=90.00 beta=90.00 gamma=90.00
Space group Pmm2 (No. 25)
One atom of each set of equivalent atoms:
Ac  0.0000  0.0000  0.0000 [1 per cell]
Y  0.5000  0.5000  0.2217 [1 per cell]
Cd  0.0000  0.2715  0.4646 [2 per cell]
Cd  0.0000  0.5000  0.8957 [1 per cell]
Cd  0.5000  0.0000  0.3833 [1 per cell]
Cd  0.5000  0.2726  0.7516 [2 per cell]

***

[4]
This entry pairs a crystal structure of Ac6ZnCd with its theoretical X-ray powder pattern. Radiation: Cu Kα (weighted mean of Kα1 and Kα2). Structure: DFT lattice parameters and positions (GGA-PBE).
Kinematic intensities with the Lorentz-polarization factor, no thermal factor.

The 10 most intense peaks (2θ from 5° to 70°), by angle:
2θ 24.1, 3.697 Å, I = 19
2θ 27.7, 3.218 Å, I = 11
2θ 29.0, 3.081 Å, I = 100
2θ 31.6, 2.830 Å, I = 47
2θ 42.5, 2.125 Å, I = 15
2θ 45.3, 2.001 Å, I = 18
2θ 49.6, 1.836 Å, I = 13
2θ 52.6, 1.739 Å, I = 13
2θ 54.0, 1.699 Å, I = 8
2θ 54.7, 1.678 Å, I = 35

Atomic structure:
Unit cell a=5.6598 b=5.6598 c=19.3068 alpha=90.00 beta=90.00 gamma=90.00
Space group I4/mmm (No. 139)
One atom of each set of equivalent atoms:
Ac  0.0000  0.0000  0.2503 [4 per cell]
Ac  0.0000  0.5000  0.1037 [8 per cell]
Zn  0.0000  0.0000  0.0000 [2 per cell]
Cd  0.0000  0.0000  0.5000 [2 per cell]

***

[5]
This entry pairs a crystal structure of AcZnCd11 with its theoretical X-ray powder pattern. Radiation: Cu Kα (weighted mean of Kα1 and Kα2). Structure: DFT lattice parameters and positions (GGA-PBE).
Kinematic intensities with the Lorentz-polarization factor, no thermal factor.

The 10 most intense peaks (2θ from 5° to 70°), by angle:
2θ 29.8, 2.999 Å, I = 38
2θ 30.6, 2.925 Å, I = 38
2θ 30.8, 2.904 Å, I = 50
2θ 34.7, 2.582 Å, I = 71
2θ 35.0, 2.563 Å, I = 60
2θ 35.5, 2.531 Å, I = 56
2θ 35.7, 2.517 Å, I = 91
2θ 35.8, 2.508 Å, I = 40
2θ 35.9, 2.501 Å, I = 100
2θ 39.4, 2.287 Å, I = 39

Atomic structure:
Unit cell a=5.9994 b=14.1384 c=7.6537 alpha=90.00 beta=112.36 gamma=90.00
Space group C2/m (No. 12)
One atom of each set of equivalent atoms:
Ac  0.0000  0.0000  0.0000 [2 per cell]
Zn  0.0000  0.5000  0.5000 [2 per cell]
Cd  0.0000  0.0000  0.5000 [2 per cell]
Cd  0.1021  0.3931  0.2210 [8 per cell]
Cd  0.1855  0.1747  0.3564 [8 per cell]
Cd  0.2500  0.2500  0.0000 [4 per cell]

***

[6]
This entry pairs a crystal structure of Ac3Zn9Cd2 with its theoretical X-ray powder pattern. Radiation: Cu Kα (weighted mean of Kα1 and Kα2). Structure: DFT lattice parameters and positions (GGA-PBE).
Kinematic intensities with the Lorentz-polarization factor, no thermal factor.

The 10 most intense peaks (2θ from 5° to 70°), by angle:
2θ 21.2, 4.195 Å, I = 23
2θ 31.7, 2.823 Å, I = 16
2θ 33.0, 2.712 Å, I = 100
2θ 34.7, 2.585 Å, I = 22
2θ 34.8, 2.578 Å, I = 20
2θ 37.1, 2.424 Å, I = 19
2θ 37.9, 2.377 Å, I = 14
2θ 38.2, 2.354 Å, I = 31
2θ 52.6, 1.741 Å, I = 14
2θ 64.1, 1.453 Å, I = 14

Atomic structure:
Unit cell a=4.7086 b=9.2416 c=14.2609 alpha=90.00 beta=90.00 gamma=90.00
Space group Immm (No. 71)
One atom of each set of equivalent atoms:
Ac  0.0000  0.0000  0.0000 [2 per cell]
Ac  0.0000  0.0000  0.2944 [4 per cell]
Zn  0.0000  0.2791  0.1422 [8 per cell]
Zn  0.0000  0.3597  0.3390 [8 per cell]
Zn  0.0000  0.5000  0.0000 [2 per cell]
Cd  0.0000  0.1867  0.5000 [4 per cell]

***

[7]
This entry pairs a crystal structure of AcZn2Cd with its theoretical X-ray powder pattern. Radiation: Cu Kα (weighted mean of Kα1 and Kα2). Structure: DFT lattice parameters and positions (GGA-PBE).
Kinematic intensities with the Lorentz-polarization factor, no thermal factor.

The 10 most intense peaks (2θ from 5° to 70°), by angle:
2θ 21.1, 4.203 Å, I = 11
2θ 24.5, 3.640 Å, I = 20
2θ 34.9, 2.574 Å, I = 100
2θ 41.1, 2.195 Å, I = 6
2θ 43.0, 2.102 Å, I = 6
2θ 50.1, 1.820 Å, I = 18
2θ 55.0, 1.670 Å, I = 3
2θ 56.5, 1.628 Å, I = 8
2θ 62.5, 1.486 Å, I = 36
2θ 66.8, 1.401 Å, I = 2

Atomic structure:
Unit cell a=7.2804 b=7.2804 c=7.2804 alpha=90.00 beta=90.00 gamma=90.00
Space group Fm-3m (No. 225)
One atom of each set of equivalent atoms:
Ac  0.0000  0.0000  0.0000 [4 per cell]
Zn  0.2500  0.2500  0.2500 [8 per cell]
Cd  0.0000  0.0000  0.5000 [4 per cell]

***

[8]
This entry pairs a crystal structure of Ac4ZnCd with its theoretical X-ray powder pattern. Radiation: Cu Kα (weighted mean of Kα1 and Kα2). Structure: DFT lattice parameters and positions (GGA-PBE).
Kinematic intensities with the Lorentz-polarization factor, no thermal factor.

The 10 most intense peaks (2θ from 5° to 70°), by angle:
2θ 23.2, 3.839 Å, I = 23
2θ 26.0, 3.431 Å, I = 12
2θ 29.7, 3.011 Å, I = 100
2θ 31.6, 2.828 Å, I = 50
2θ 41.4, 2.182 Å, I = 14
2θ 45.4, 1.999 Å, I = 19
2θ 51.4, 1.778 Å, I = 13
2θ 51.9, 1.760 Å, I = 10
2θ 55.1, 1.666 Å, I = 36
2θ 61.6, 1.505 Å, I = 8

Atomic structure:
Unit cell a=3.9990 b=3.9990 c=13.7225 alpha=90.00 beta=90.00 gamma=90.00
Space group P4/mmm (No. 123)
One atom of each set of equivalent atoms:
Ac  0.0000  0.0000  0.1381 [2 per cell]
Ac  0.5000  0.5000  0.3487 [2 per cell]
Zn  0.5000  0.5000  0.0000 [1 per cell]
Cd  0.0000  0.0000  0.5000 [1 per cell]

***

[9]
This entry pairs a crystal structure of Ac4Zn2Cd with its theoretical X-ray powder pattern. Radiation: Cu Kα (weighted mean of Kα1 and Kα2). Structure: DFT lattice parameters and positions (GGA-PBE).
Kinematic intensities with the Lorentz-polarization factor, no thermal factor.

The 10 most intense peaks (2θ from 5° to 70°), by angle:
2θ 22.7, 3.919 Å, I = 68
2θ 32.1, 2.790 Å, I = 100
2θ 32.5, 2.752 Å, I = 92
2θ 39.7, 2.273 Å, I = 17
2θ 46.3, 1.959 Å, I = 35
2θ 51.9, 1.762 Å, I = 16
2θ 52.5, 1.743 Å, I = 13
2θ 57.2, 1.611 Å, I = 20
2θ 57.5, 1.603 Å, I = 37
2θ 58.3, 1.582 Å, I = 15

Atomic structure:
Unit cell a=5.5798 b=5.5798 c=26.7876 alpha=90.00 beta=90.00 gamma=120.00
Space group R-3m (No. 166, hexagonal axes)
One atom of each set of equivalent atoms:
Ac  0.0000  0.0000  0.1193 [6 per cell]
Ac  0.0000  0.0000  0.3709 [6 per cell]
Zn  0.0000  0.0000  0.2479 [6 per cell]
Cd  0.0000  0.0000  0.5000 [3 per cell]

***

[10]
This entry pairs a crystal structure of AcZnCd with its theoretical X-ray powder pattern. Radiation: Cu Kα (weighted mean of Kα1 and Kα2). Structure: DFT lattice parameters and positions (GGA-PBE).
Kinematic intensities with the Lorentz-polarization factor, no thermal factor.

The 10 most intense peaks (2θ from 5° to 70°), by angle:
2θ 25.5, 3.487 Å, I = 69
2θ 29.3, 3.052 Å, I = 35
2θ 29.9, 2.985 Å, I = 47
2θ 33.0, 2.714 Å, I = 28
2θ 33.4, 2.681 Å, I = 100
2θ 33.6, 2.667 Å, I = 64
2θ 36.2, 2.478 Å, I = 62
2θ 39.6, 2.275 Å, I = 37
2θ 52.9, 1.731 Å, I = 51
2θ 54.6, 1.681 Å, I = 25

Atomic structure:
Unit cell a=6.3513 b=6.1032 c=9.0999 alpha=90.00 beta=110.96 gamma=90.00
Space group P2_1/c (No. 14)
One atom of each set of equivalent atoms:
Ac  0.0871  0.2481  0.3965 [4 per cell]
Zn  0.4975  0.0020  0.7486 [4 per cell]
Cd  0.3427  0.7478  0.4606 [4 per cell]

***

[11]
This entry pairs a crystal structure of AcCe4 with its theoretical X-ray powder pattern. Radiation: Cu Kα (weighted mean of Kα1 and Kα2). Structure: DFT lattice parameters and positions (GGA-PBE).
Kinematic intensities with the Lorentz-polarization factor, no thermal factor.

The 10 most intense peaks (2θ from 5° to 70°), by angle:
2θ 15.0, 5.890 Å, I = 42
2θ 21.3, 4.165 Å, I = 38
2θ 26.2, 3.400 Å, I = 37
2θ 30.4, 2.945 Å, I = 100
2θ 34.0, 2.634 Å, I = 24
2θ 37.4, 2.404 Å, I = 18
2θ 43.5, 2.082 Å, I = 75
2θ 46.2, 1.963 Å, I = 13
2θ 51.5, 1.776 Å, I = 17
2θ 53.9, 1.700 Å, I = 27

Atomic structure:
Unit cell a=5.8895 b=5.8895 c=5.8895 alpha=90.00 beta=90.00 gamma=90.00
Space group Pm-3m (No. 221)
One atom of each set of equivalent atoms:
Ac  0.0000  0.0000  0.0000 [1 per cell]
Ce  0.0000  0.0000  0.5000 [3 per cell]
Ce  0.5000  0.5000  0.5000 [1 per cell]

***

[12]
This entry pairs a crystal structure of AcCe5 with its theoretical X-ray powder pattern. Radiation: Cu Kα (weighted mean of Kα1 and Kα2). Structure: DFT lattice parameters and positions (GGA-PBE).
Kinematic intensities with the Lorentz-polarization factor, no thermal factor.

The 10 most intense peaks (2θ from 5° to 70°), by angle:
2θ 19.2, 4.633 Å, I = 1
2θ 26.6, 3.354 Å, I = 2
2θ 31.8, 2.816 Å, I = 100
2θ 36.8, 2.442 Å, I = 34
2θ 37.0, 2.430 Å, I = 17
2θ 53.0, 1.727 Å, I = 12
2θ 53.2, 1.723 Å, I = 23
2θ 63.2, 1.472 Å, I = 28
2θ 63.4, 1.467 Å, I = 14
2θ 66.4, 1.408 Å, I = 12

Atomic structure:
Unit cell a=4.8839 b=14.6576 c=4.8607 alpha=90.00 beta=90.00 gamma=90.00
Space group Cmmm (No. 65)
One atom of each set of equivalent atoms:
Ac  0.0000  0.0000  0.0000 [2 per cell]
Ce  0.0000  0.1714  0.5000 [4 per cell]
Ce  0.0000  0.3289  0.0000 [4 per cell]
Ce  0.0000  0.5000  0.5000 [2 per cell]

***

[13]
This entry pairs a crystal structure of AcCePtCl with its theoretical X-ray powder pattern. Radiation: Cu Kα (weighted mean of Kα1 and Kα2). Structure: DFT lattice parameters and positions (GGA-PBE).
Kinematic intensities with the Lorentz-polarization factor, no thermal factor.

The 10 most intense peaks (2θ from 5° to 70°), by angle:
2θ 11.3, 7.802 Å, I = 64
2θ 25.3, 3.523 Å, I = 44
2θ 30.8, 2.900 Å, I = 100
2θ 36.2, 2.479 Å, I = 24
2θ 42.4, 2.133 Å, I = 44
2θ 44.0, 2.058 Å, I = 15
2θ 45.9, 1.977 Å, I = 30
2θ 53.3, 1.718 Å, I = 22
2θ 64.2, 1.450 Å, I = 11
2θ 64.8, 1.439 Å, I = 12

Atomic structure:
Unit cell a=4.2663 b=4.2663 c=23.4072 alpha=90.00 beta=90.00 gamma=120.00
Space group R3m (No. 160, hexagonal axes)
One atom of each set of equivalent atoms:
Ac  0.0000  0.0000  0.0000 [3 per cell]
Ce  0.0000  0.0000  0.1952 [3 per cell]
Pt  0.0000  0.0000  0.5917 [3 per cell]
Cl  0.0000  0.0000  0.7720 [3 per cell]

***

[14]
This entry pairs a crystal structure of AcCeSe2Cl with its theoretical X-ray powder pattern. Radiation: Cu Kα (weighted mean of Kα1 and Kα2). Structure: DFT lattice parameters and positions (GGA-PBE).
Kinematic intensities with the Lorentz-polarization factor, no thermal factor.

The 10 most intense peaks (2θ from 5° to 70°), by angle:
2θ 6.1, 14.567 Å, I = 34
2θ 23.7, 3.762 Å, I = 62
2θ 24.4, 3.642 Å, I = 40
2θ 28.7, 3.106 Å, I = 100
2θ 30.7, 2.913 Å, I = 22
2θ 38.1, 2.363 Å, I = 73
2θ 41.1, 2.196 Å, I = 50
2θ 42.5, 2.125 Å, I = 41
2θ 48.0, 1.897 Å, I = 20
2θ 48.4, 1.881 Å, I = 27

Atomic structure:
Unit cell a=4.3928 b=4.3928 c=14.5670 alpha=90.00 beta=90.00 gamma=90.00
Space group P4/nmm (No. 129, origin choice 2)
One atom of each set of equivalent atoms:
Ac  0.2500  0.2500  0.1021 [2 per cell]
Ce  0.2500  0.2500  0.6401 [2 per cell]
Se  0.2500  0.2500  0.3101 [2 per cell]
Se  0.2500  0.2500  0.8763 [2 per cell]
Cl  0.2500  0.7500  0.5000 [2 per cell]